# BaZnCoF7
Calculated XRD peak list, Cu Kα. Input: a PBE+U-relaxed structure.
Kinematic intensities with the Lorentz-polarization factor, no thermal factor.

Structural model:
Lattice parameters (Å, degrees): 5.697 10.013 9.620 90.00 93.22 90.00
Element x y z (fractional)
1 Ba 0.234 0.185 0.000
2 Ba 0.234 0.315 0.500
3 Ba 0.766 0.685 0.500
4 Ba 0.766 0.815 0.000
5 Zn 0.198 0.600 0.810
6 Zn 0.198 0.900 0.310
7 Zn 0.802 0.100 0.690
8 Zn 0.802 0.400 0.190
9 Co 0.304 0.612 0.191
10 Co 0.304 0.888 0.691
11 Co 0.696 0.112 0.309
12 Co 0.696 0.388 0.809
13 F 0.025 0.710 0.251
14 F 0.025 0.790 0.751
15 F 0.117 0.542 0.620
16 F 0.117 0.958 0.120
17 F 0.134 0.049 0.631
18 F 0.134 0.451 0.131
19 F 0.240 0.689 0.009
20 F 0.240 0.811 0.509
21 F 0.386 0.544 0.364
22 F 0.386 0.956 0.864
23 F 0.391 0.057 0.377
24 F 0.391 0.443 0.877
25 F 0.476 0.721 0.751
26 F 0.476 0.779 0.251
27 F 0.524 0.221 0.749
28 F 0.524 0.279 0.249
29 F 0.609 0.557 0.123
30 F 0.609 0.943 0.623
31 F 0.614 0.044 0.136
32 F 0.614 0.456 0.636
33 F 0.760 0.189 0.491
34 F 0.760 0.311 0.991
35 F 0.866 0.549 0.869
36 F 0.866 0.951 0.369
37 F 0.883 0.042 0.880
38 F 0.883 0.458 0.380
39 F 0.975 0.210 0.249
40 F 0.975 0.290 0.749

Principal peaks in the range 2θ = 10–80°, low angle first:
- 25.2°, rel. 100
- 25.7°, rel. 28
- 26.5°, rel. 56
- 29.3°, rel. 25
- 31.1°, rel. 23
- 31.5°, rel. 23
- 39.0°, rel. 15
- 40.2°, rel. 25
- 40.7°, rel. 33
- 41.7°, rel. 19
- 52.0°, rel. 24
- 54.4°, rel. 18